KYbMo2O8: theoretical powder XRD pattern (CuKα), based on a PBE+U-relaxed structure.

Structural model:
abc: 5.159 18.840 8.045
angles: 90.00 90.00 90.00
Element x y z (fractional)
K: 0.000 0.228 0.250
K: 0.000 0.772 0.750
K: 0.500 0.272 0.750
K: 0.500 0.728 0.250
Yb: 0.000 0.006 0.750
Yb: 0.000 0.994 0.250
Yb: 0.500 0.494 0.250
Yb: 0.500 0.506 0.750
Mo: 0.016 0.400 0.518
Mo: 0.016 0.600 0.018
Mo: 0.484 0.100 0.018
Mo: 0.484 0.900 0.518
Mo: 0.516 0.100 0.482
Mo: 0.516 0.900 0.982
Mo: 0.984 0.400 0.982
Mo: 0.984 0.600 0.482
O: 0.108 0.313 0.980
O: 0.108 0.687 0.480
O: 0.230 0.402 0.342
O: 0.230 0.598 0.842
O: 0.238 0.408 0.695
O: 0.238 0.592 0.195
O: 0.249 0.035 0.507
O: 0.249 0.965 0.007
O: 0.251 0.465 0.007
O: 0.251 0.535 0.507
O: 0.262 0.092 0.195
O: 0.262 0.908 0.695
O: 0.270 0.098 0.842
O: 0.270 0.902 0.342
O: 0.392 0.187 0.480
O: 0.392 0.813 0.980
O: 0.608 0.187 0.020
O: 0.608 0.813 0.520
O: 0.730 0.098 0.658
O: 0.730 0.902 0.158
O: 0.738 0.092 0.305
O: 0.738 0.908 0.805
O: 0.749 0.465 0.493
O: 0.749 0.535 0.993
O: 0.751 0.035 0.993
O: 0.751 0.965 0.493
O: 0.762 0.408 0.805
O: 0.762 0.592 0.305
O: 0.770 0.402 0.158
O: 0.770 0.598 0.658
O: 0.892 0.313 0.520
O: 0.892 0.687 0.020

Largest 8 diffraction maxima, sorted by position, 15 to 90 degrees two-theta:
2θ (°)  d/Å  I/Imax  index
22.3  3.986  47  1 3 0
28.5  3.128  100  1 1 2
29.2  3.059  39  0 4 2
29.4  3.043  57  1 5 0
46.0  1.972  37  2 4 2
51.1  1.786  18  2 6 2
52.4  1.747  19  1 9 2
54.7  1.678  17  1 5 4